Record 1
Theoretical powder X-ray diffraction pattern
Compound: PmHf
Radiation: Cu Kα
Structure: the PBE geometry in the Materials Project

Principal peaks in the range 2θ = 10–90°, by intensity:
Position (°2θ), I_rel, index
34.69, 100, 1 0 1
32.24, 27, 0 0 2
30.59, 24, 1 0 0
64.64, 22, 1 1 2
59.08, 22, 1 0 3
54.37, 19, 1 1 0
45.04, 17, 1 0 2
66.12, 15, 2 0 1
84.47, 8, 2 0 3
73.19, 4, 2 0 2
75.88, 4, 1 0 4
67.47, 3, 0 0 4

Crystal structure
```
PmHf
1.0
3.375 0.000 0.000
-1.687 2.923 0.000
0.000 0.000 5.553
Pm Hf
1 1
Direct
0.000 0.000 0.000
0.333 0.667 0.500
```


Record 2
Theoretical powder X-ray diffraction pattern
Compound: HfPt3
Radiation: Cu Kα
Structure: the PBE geometry in the Materials Project

Principal peaks in the range 2θ = 10–90°, by intensity:
Position (°2θ), I_rel, index
41.33, 100, 2 0 2
37.63, 43, 2 0 1
38.62, 36, 0 0 4
78.57, 28, 2 2 4
65.37, 23, 2 2 0
46.95, 23, 2 0 3
71.73, 20, 2 0 6
80.34, 15, 4 0 2
62.36, 10, 2 0 5
36.33, 8, 2 0 0
77.95, 5, 4 0 1
54.06, 5, 2 0 4

Crystal structure
```
HfPt3
1.0
5.711 0.000 0.000
-2.855 4.945 0.000
0.000 0.000 9.325
Hf Pt
4 12
Direct
0.000 0.000 0.000
0.000 0.000 0.500
0.333 0.667 0.250
0.667 0.333 0.750
0.000 0.500 0.000
0.000 0.500 0.500
0.169 0.338 0.750
0.169 0.831 0.750
0.338 0.169 0.250
0.500 0.000 0.000
0.500 0.000 0.500
0.500 0.500 0.000
0.500 0.500 0.500
0.662 0.831 0.750
0.831 0.169 0.250
0.831 0.662 0.250
```


Record 3
Theoretical powder X-ray diffraction pattern
Compound: HfPt
Radiation: Cu Kα
Structure: the PBE geometry in the Materials Project

Principal peaks in the range 2θ = 10–90°, by intensity:
Position (°2θ), I_rel, index
38.22, 100, 1 1 0
69.10, 36, 2 1 1
55.17, 18, 2 0 0
81.82, 11, 2 2 0

Crystal structure
```
HfPt
1.0
3.330 0.000 0.000
0.000 3.330 0.000
0.000 0.000 3.330
Hf Pt
1 1
Direct
0.000 0.000 0.000
0.500 0.500 0.500
```


Record 4
Theoretical powder X-ray diffraction pattern
Compound: HfPt4
Radiation: Cu Kα
Structure: the PBE geometry in the Materials Project

Principal peaks in the range 2θ = 10–90°, by intensity:
Position (°2θ), I_rel, index
38.77, 100, 1 1 5
45.15, 33, 2 0 0
79.03, 26, 3 1 5
65.58, 22, 2 0 10
44.92, 17, 0 0 10
78.71, 13, 1 1 15
83.18, 11, 2 2 10
65.76, 11, 2 2 0

Crystal structure
```
HfPt4
1.0
4.017 0.000 0.000
0.000 4.017 0.000
0.000 0.000 20.178
Hf Pt
4 16
Direct
0.000 0.000 0.101
0.000 0.000 0.303
0.000 0.000 0.697
0.000 0.000 0.899
0.000 0.000 0.500
0.000 0.500 0.000
0.000 0.500 0.200
0.000 0.500 0.399
0.000 0.500 0.601
0.000 0.500 0.800
0.500 0.000 0.000
0.500 0.000 0.200
0.500 0.000 0.399
0.500 0.000 0.601
0.500 0.000 0.800
0.500 0.500 0.100
0.500 0.500 0.300
0.500 0.500 0.500
0.500 0.500 0.700
0.500 0.500 0.900
```


Record 5
Theoretical powder X-ray diffraction pattern
Compound: Hf2Pt3
Radiation: Cu Kα
Structure: the PBE geometry in the Materials Project

Principal peaks in the range 2θ = 10–90°, by intensity:
Position (°2θ), I_rel, index
40.04, 100, 1 0 5
36.47, 70, 1 1 0
68.04, 43, 2 1 5
52.54, 27, 2 0 0
75.03, 14, 1 1 10
88.82, 12, 3 1 0
86.42, 10, 2 0 10
77.49, 8, 2 2 0
62.98, 6, 0 0 10
76.00, 3, 1 0 11
65.68, 1, 2 0 6
26.28, 1, 1 0 1

Crystal structure
```
Hf2Pt3
1.0
3.484 0.000 0.000
0.000 3.484 0.000
0.000 0.000 14.757
Hf Pt
4 6
Direct
0.000 0.000 0.111
0.000 0.000 0.889
0.500 0.500 0.389
0.500 0.500 0.611
0.000 0.000 0.305
0.000 0.000 0.500
0.000 0.000 0.695
0.500 0.500 0.000
0.500 0.500 0.195
0.500 0.500 0.805
```


Record 6
Theoretical powder X-ray diffraction pattern
Compound: HfPt
Radiation: Cu Kα
Structure: the PBE geometry in the Materials Project

Principal peaks in the range 2θ = 10–90°, by intensity:
Position (°2θ), I_rel, index
34.79, 100, 1 1 1
42.87, 68, 1 3 1
34.59, 36, 0 4 0
41.86, 35, 0 0 2
40.58, 26, 0 4 1
55.39, 19, 0 4 2
54.24, 16, 2 0 0
70.78, 15, 2 0 2
81.23, 13, 2 4 2
71.90, 12, 1 1 3
77.15, 12, 1 3 3
84.28, 12, 1 7 2

Crystal structure
```
HfPt
1.0
3.382 0.000 0.000
0.000 10.374 0.000
0.000 0.000 4.316
Hf Pt
4 4
Direct
0.000 0.143 0.250
0.000 0.857 0.750
0.500 0.357 0.750
0.500 0.643 0.250
0.000 0.407 0.250
0.000 0.593 0.750
0.500 0.093 0.750
0.500 0.907 0.250
```


Record 7
Theoretical powder X-ray diffraction pattern
Compound: HfPt3
Radiation: Cu Kα
Structure: the PBE geometry in the Materials Project

Principal peaks in the range 2θ = 10–90°, by intensity:
Position (°2θ), I_rel, index
38.66, 100, 1 1 1
44.95, 49, 2 0 0
78.68, 39, 3 1 1
65.45, 33, 2 2 0
82.92, 11, 2 2 2

Crystal structure
```
HfPt3
1.0
4.033 0.000 0.000
0.000 4.033 0.000
0.000 0.000 4.033
Hf Pt
1 3
Direct
0.000 0.000 0.000
0.000 0.500 0.500
0.500 0.000 0.500
0.500 0.500 0.000
```


Record 8
Theoretical powder X-ray diffraction pattern
Compound: PuHf3
Radiation: Cu Kα
Structure: the PBE geometry in the Materials Project

Principal peaks in the range 2θ = 10–90°, by intensity:
Position (°2θ), I_rel, index
36.99, 100, 2 0 1
34.86, 26, 0 0 2
32.48, 24, 2 0 0
69.44, 22, 2 2 2
63.91, 21, 2 0 3
57.95, 18, 2 2 0
48.39, 16, 2 0 2
70.77, 15, 4 0 1
78.77, 4, 4 0 2
82.78, 3, 2 0 4
73.62, 3, 0 0 4
68.02, 3, 4 0 0

Crystal structure
```
PuHf3
1.0
6.366 0.000 0.000
-3.183 5.513 0.000
0.000 0.000 5.147
Pu Hf
2 6
Direct
0.333 0.667 0.250
0.667 0.333 0.750
0.165 0.329 0.750
0.165 0.835 0.750
0.329 0.165 0.250
0.671 0.835 0.750
0.835 0.165 0.250
0.835 0.671 0.250
```